Entry 1:
This entry pairs a crystal structure of LiZnInF6 with its simulated powder diffraction line list. Radiation: a wavelength of 1.5418 Å. Structure: a structure optimized by DFT (PBE).
Peak positions follow from Bragg's law for the DFT cell and can differ from measured ones.

Crystal structure
```
LiZnInF6
1.0
9.1001 0.0000 0.0000
-4.5501 7.8809 0.0000
0.0000 0.0000 4.6945
Li Zn In F
3 3 3 18
Cartesian
-3.1588 5.4713 0.0000 Li
1.3912 2.4097 0.0000 Li
6.3177 0.0000 0.0000 Li
-1.6142 2.7959 2.3472 Zn
3.2284 0.0000 2.3472 Zn
2.9359 5.0851 2.3472 Zn
0.0000 0.0000 2.3472 In
0.0000 5.2540 4.6690 In
4.5501 2.6270 0.0255 In
-0.0869 1.8034 3.4415 F
-1.5996 4.4584 3.5396 F
-2.9449 7.0545 3.4415 F
-0.0674 3.4745 1.1058 F
-1.5074 6.2020 1.1058 F
1.6052 0.8265 1.2530 F
1.4888 4.2664 3.5396 F
3.0427 1.6789 3.5887 F
0.1108 7.0371 3.5396 F
2.9504 3.4225 1.1549 F
1.5747 6.0854 1.1058 F
4.6609 0.8439 1.1549 F
3.0317 6.9040 3.4415 F
4.4827 4.4064 3.5887 F
6.1248 1.7956 3.5887 F
4.4632 6.0776 1.2530 F
6.0389 3.6145 1.1549 F
7.5818 0.9769 1.2530 F
```

The 10 most intense peaks (2θ = 10–90°), in order of rising 2θ:
2theta	I/Imax	(hkl)
19.51	100.0	1 1 0
22.04	94.9	0 1 1
27.30	92.3	1 1 1
29.60	65.1	2 0 1
34.13	46.3	3 0 0
35.70	57.7	1 2 1
39.30	38.0	0 3 1
52.26	90.7	3 0 2
54.38	29.1	2 3 1
61.10	36.7	3 3 0

---

Entry 2:
This entry pairs a crystal structure of Na2MgInF7 with its simulated powder diffraction line list. Radiation: a wavelength of 1.5418 Å. Structure: a structure optimized by DFT (PBE).
Peak positions follow from Bragg's law for the DFT cell and can differ from measured ones.

Crystal structure
```
Na2MgInF7
1.0
10.6224 0.0000 0.0000
0.0000 7.4619 0.0000
0.0000 0.0000 7.6755
Na Mg In F
8 4 4 28
Cartesian
0.0000 0.0000 0.0000 Na
0.0000 3.7309 0.0000 Na
2.4261 1.8655 2.0502 Na
2.8852 5.5964 5.8880 Na
5.3112 0.0000 3.8378 Na
5.3112 3.7309 3.8378 Na
7.7373 1.8655 1.7875 Na
8.1964 5.5964 5.6253 Na
0.0000 0.0000 3.8378 Mg
0.0000 3.7309 3.8378 Mg
5.3112 0.0000 0.0000 Mg
5.3112 3.7309 0.0000 Mg
2.5151 1.8655 5.7586 In
2.7962 5.5964 1.9209 In
7.8263 1.8655 5.7546 In
8.1074 5.5964 1.9169 In
0.3653 1.8655 3.4412 F
1.3256 0.1427 5.3763 F
1.3256 3.5882 5.3763 F
1.4385 4.0887 2.4948 F
1.4385 7.1041 2.4948 F
1.4885 1.8655 7.6268 F
1.6955 5.5964 0.1260 F
3.6157 1.8655 3.9638 F
3.8228 5.5964 3.7891 F
3.8727 0.3577 6.3325 F
3.8727 3.3732 6.3325 F
3.9856 3.8737 1.5385 F
3.9856 7.3191 1.5385 F
4.9459 5.5964 7.2789 F
5.6766 1.8655 0.3966 F
6.6368 0.1427 6.1370 F
6.6368 3.5882 6.1370 F
6.7497 4.0887 1.3430 F
6.7497 7.1041 1.3430 F
6.7997 1.8655 3.8864 F
7.0067 5.5964 3.7117 F
8.9269 1.8655 7.5495 F
9.1340 5.5964 0.0487 F
9.1840 0.3577 5.1807 F
9.1840 3.3732 5.1807 F
9.2969 3.8737 2.2992 F
9.2969 7.3191 2.2992 F
10.2571 5.5964 4.2343 F
```

The 10 most intense peaks (2θ = 10–90°), in order of rising 2θ:
2theta	I/Imax	(hkl)
16.57	100.0	0 1 1
16.69	33.8	2 0 0
23.60	80.1	2 1 1
28.70	93.0	2 0 2
29.25	75.0	2 2 0
41.77	30.9	4 2 0
48.29	68.3	4 2 2
48.82	23.1	0 4 0
56.66	25.5	2 2 4
57.62	30.8	2 4 2